This entry pairs a crystal structure of Nd2In3 with its calculated powder diffraction line list. Radiation: CuKα. Structure: a PBE-relaxed structure.
Peak positions follow from Bragg's law for the DFT cell and can differ from measured ones.

Peak list (8 most intense, 2θ from 10° to 90°, most intense first)
- 2θ 34.6, I = 100
- 2θ 33.6, I = 73
- 2θ 30.9, I = 70
- 2θ 29.6, I = 55
- 2θ 32.1, I = 52
- 2θ 49.0, I = 20
- 2θ 66.5, I = 18
- 2θ 46.1, I = 18

Atomic structure:
a b c (Å): 6.8433 8.4035 9.8466
angles (deg): 90.00 90.00 90.00
Element x y z (fractional)
1 Nd 0.1276 0.1832 0.0882
2 Nd 0.1276 0.8168 0.5882
3 Nd 0.3724 0.3168 0.5882
4 Nd 0.3724 0.6832 0.0882
5 Nd 0.6276 0.3168 0.9118
6 Nd 0.6276 0.6832 0.4118
7 Nd 0.8724 0.1832 0.4118
8 Nd 0.8724 0.8168 0.9118
9 In 0.0000 0.1515 0.7500
10 In 0.0000 0.8485 0.2500
11 In 0.1341 0.4781 0.8684
12 In 0.1341 0.5219 0.3684
13 In 0.3659 0.0219 0.3684
14 In 0.3659 0.9781 0.8684
15 In 0.5000 0.3485 0.2500
16 In 0.5000 0.6515 0.7500
17 In 0.6341 0.0219 0.1316
18 In 0.6341 0.9781 0.6316
19 In 0.8659 0.4781 0.6316
20 In 0.8659 0.5219 0.1316

***

This entry pairs a crystal structure of CaBeGaPt2 with its calculated powder diffraction line list. Radiation: CuKα. Structure: a PBE-relaxed structure.
Peak positions follow from Bragg's law for the DFT cell and can differ from measured ones.

Peak list (8 most intense, 2θ from 10° to 90°, most intense first)
- 2θ 23.7, I = 100
- 2θ 45.6, I = 91
- 2θ 32.8, I = 66
- 2θ 31.8, I = 62
- 2θ 46.3, I = 36
- 2θ 57.3, I = 27
- 2θ 52.1, I = 25
- 2θ 67.0, I = 24

Atomic structure:
a b c (Å): 6.3029 6.3029 6.3029
angles (deg): 143.22 143.22 52.99
Element x y z (fractional)
1 Ca 0.0000 0.0000 0.0000
2 Be 0.2500 0.7500 0.5000
3 Ga 0.7500 0.2500 0.5000
4 Pt 0.3796 0.3796 0.0000
5 Pt 0.6204 0.6204 0.0000

***

This entry pairs a crystal structure of CaPm5Y2 with its calculated powder diffraction line list. Radiation: CuKα. Structure: a PBE-relaxed structure.
Peak positions follow from Bragg's law for the DFT cell and can differ from measured ones.

Peak list (8 most intense, 2θ from 10° to 90°, most intense first)
- 2θ 29.4, I = 100
- 2θ 31.3, I = 66
- 2θ 34.9, I = 56
- 2θ 29.6, I = 45
- 2θ 28.2, I = 30
- 2θ 55.2, I = 27
- 2θ 27.5, I = 22
- 2θ 52.4, I = 20

Atomic structure:
a b c (Å): 10.4513 10.4513 10.4513
angles (deg): 146.45 112.05 77.95
Element x y z (fractional)
1 Ca 0.3464 0.0964 0.2500
2 Ca 0.6536 0.9036 0.7500
3 Pm 0.0411 0.1049 0.9363
4 Pm 0.1997 0.4497 0.7500
5 Pm 0.2754 0.6961 0.5793
6 Pm 0.3314 0.8951 0.4363
7 Pm 0.3832 0.3039 0.0793
8 Pm 0.6168 0.6961 0.9207
9 Pm 0.6686 0.1049 0.5637
10 Pm 0.7246 0.3039 0.4207
11 Pm 0.8003 0.5503 0.2500
12 Pm 0.9589 0.8951 0.0637
13 Y 0.0000 0.0000 0.5000
14 Y 0.0000 0.5000 0.0000
15 Y 0.0000 0.5000 0.5000
16 Y 0.5000 0.5000 0.0000

***

This entry pairs a crystal structure of PrErSc3 with its calculated powder diffraction line list. Radiation: CuKα. Structure: a PBE-relaxed structure.
Peak positions follow from Bragg's law for the DFT cell and can differ from measured ones.

Peak list (8 most intense, 2θ from 10° to 90°, most intense first)
- 2θ 32.9, I = 100
- 2θ 32.3, I = 72
- 2θ 32.1, I = 65
- 2θ 34.6, I = 46
- 2θ 23.9, I = 45
- 2θ 34.5, I = 41
- 2θ 35.3, I = 33
- 2θ 11.1, I = 29

Atomic structure:
a b c (Å): 6.1807 6.1810 8.4055
angles (deg): 74.35 75.65 65.86
Element x y z (fractional)
1 Pr 0.2304 0.2309 0.0020
2 Pr 0.7696 0.7691 0.9980
3 Er 0.3176 0.7968 0.7730
4 Er 0.6824 0.2032 0.2270
5 Sc 0.1452 0.1536 0.4085
6 Sc 0.1858 0.6922 0.2424
7 Sc 0.3557 0.3496 0.5964
8 Sc 0.6443 0.6504 0.4036
9 Sc 0.8142 0.3078 0.7576
10 Sc 0.8548 0.8464 0.5915